Entry 1:
LaMg6Mo: simulated X-ray diffraction stick pattern (Cu Ka), based on the PBE geometry in the Materials Project.
Peak positions follow from Bragg's law for the DFT cell and can differ from measured ones.

Principal peaks in the range 2θ from 10° to 90°, in order of rising 2θ:
15.41 deg, 5.750 Å, I 36; 15.75 deg, 5.626 Å, I 100; 31.81 deg, 2.813 Å, I 44; 32.63 deg, 2.745 Å, I 25; 36.11 deg, 2.487 Å, I 59; 36.23 deg, 2.479 Å, I 32; 36.73 deg, 2.447 Å, I 60; 48.97 deg, 1.860 Å, I 26

Crystal structure
```
data_LaMg6Mo
_chemical_formula_sum 'La2 Mg12 Mo2'
_cell_length_a 4.959
_cell_length_b 6.451
_cell_length_c 11.500
_cell_angle_alpha 90.00
_cell_angle_beta 90.00
_cell_angle_gamma 90.00
_space_group_name_H-M_alt 'A m m 2'
_space_group_IT_number 38
loop_
_space_group_symop_operation_xyz
'x,y,z'
'-x,-y,z'
'-x,y,z'
'x,-y,z'
'x,y+1/2,z+1/2'
'-x,-y+1/2,z+1/2'
'-x,y+1/2,z+1/2'
'x,-y+1/2,z+1/2'
loop_
_atom_site_label
_atom_site_fract_x
_atom_site_fract_y
_atom_site_fract_z
La1 0.000 0.000 0.000
Mg1 0.000 0.000 0.534
Mg2 0.000 0.241 0.772
Mg3 0.500 0.000 0.371
Mg4 0.500 0.238 0.627
Mo1 0.500 0.000 0.890
```



Entry 2:
LaMg14Mo: simulated X-ray diffraction stick pattern (Cu Ka), based on the PBE geometry in the Materials Project.
Peak positions follow from Bragg's law for the DFT cell and can differ from measured ones.

Principal peaks in the range 2θ from 10° to 90°, in order of rising 2θ:
15.76 deg, 5.624 Å, I 50; 23.59 deg, 3.772 Å, I 38; 31.82 deg, 2.812 Å, I 31; 35.30 deg, 2.543 Å, I 23; 36.51 deg, 2.461 Å, I 100; 48.25 deg, 1.886 Å, I 19; 56.70 deg, 1.623 Å, I 21; 68.58 deg, 1.368 Å, I 18

Crystal structure
```
data_LaMg14Mo
_chemical_formula_sum 'La1 Mg14 Mo1'
_cell_length_a 6.4937
_cell_length_b 6.4937
_cell_length_c 10.1715
_cell_angle_alpha 90.00
_cell_angle_beta 90.00
_cell_angle_gamma 120.00
_space_group_name_H-M_alt 'P -6 m 2'
_space_group_IT_number 187
_space_group_name_Hall 'P -6 2'
loop_
_atom_site_label
_atom_site_fract_x
_atom_site_fract_y
_atom_site_fract_z
La1 0.0000 0.0000 0.0000
Mg1 0.0126 0.5063 0.0000
Mg2 0.1651 0.3302 0.2666
Mg3 0.5014 0.0028 0.5000
Mg4 0.6667 0.3333 0.2422
Mo1 0.0000 0.0000 0.5000
```



Entry 3:
LaMg2Mo3S8: simulated X-ray diffraction stick pattern (Cu Ka), based on the PBE geometry in the Materials Project.
Peak positions follow from Bragg's law for the DFT cell and can differ from measured ones.

Principal peaks in the range 2θ from 10° to 90°, in order of rising 2θ:
14.25 deg, 6.214 Å, I 100; 27.48 deg, 3.246 Å, I 97; 33.30 deg, 2.691 Å, I 93; 43.72 deg, 2.070 Å, I 33; 47.73 deg, 1.905 Å, I 38; 47.88 deg, 1.900 Å, I 45; 59.56 deg, 1.552 Å, I 16; 79.79 deg, 1.202 Å, I 14

Crystal structure
```
data_LaMg2Mo3S8
_chemical_formula_sum 'La3 Mg6 Mo9 S24'
_cell_length_a 7.6000
_cell_length_b 7.6000
_cell_length_c 18.6966
_cell_angle_alpha 90.00
_cell_angle_beta 90.00
_cell_angle_gamma 120.00
_space_group_name_H-M_alt 'R -3 m'
_space_group_IT_number 166
_space_group_name_Hall '-R 3 2"'
loop_
_atom_site_label
_atom_site_fract_x
_atom_site_fract_y
_atom_site_fract_z
La1 0.0000 0.0000 0.0000
Mg1 0.0000 0.0000 0.3762
Mo1 0.0000 0.5000 0.5000
S1 0.0000 0.0000 0.2382
S2 0.0072 0.5036 0.7644
```



Entry 4:
LaMgMoS4: simulated X-ray diffraction stick pattern (Cu Ka), based on the PBE geometry in the Materials Project.
Peak positions follow from Bragg's law for the DFT cell and can differ from measured ones.

Principal peaks in the range 2θ from 10° to 90°, in order of rising 2θ:
13.73 deg, 6.447 Å, I 76; 14.04 deg, 6.307 Å, I 78; 26.47 deg, 3.367 Å, I 71; 26.97 deg, 3.306 Å, I 74; 32.33 deg, 2.769 Å, I 100; 32.62 deg, 2.745 Å, I 47; 42.70 deg, 2.117 Å, I 28; 46.59 deg, 1.949 Å, I 86

Crystal structure
```
data_LaMgMoS4
_chemical_formula_sum 'La4 Mg4 Mo4 S16'
_cell_length_a 7.704
_cell_length_b 7.965
_cell_length_c 10.980
_cell_angle_alpha 90.00
_cell_angle_beta 90.00
_cell_angle_gamma 90.00
_space_group_name_H-M_alt 'I m m a'
_space_group_IT_number 74
_space_group_name_Hall '-I 2b 2'
loop_
_atom_site_label
_atom_site_fract_x
_atom_site_fract_y
_atom_site_fract_z
La1 0.000 0.000 0.000
Mg1 0.000 0.250 0.376
Mo1 0.250 0.250 0.750
S1 0.000 0.033 0.740
S2 0.242 0.250 0.520
```



Entry 5:
La3MgTi2N3O4: simulated X-ray diffraction stick pattern (Cu Ka), based on the PBE geometry in the Materials Project.
Peak positions follow from Bragg's law for the DFT cell and can differ from measured ones.

Principal peaks in the range 2θ from 10° to 90°, in order of rising 2θ:
23.68 deg, 3.757 Å, I 34; 29.05 deg, 3.074 Å, I 25; 33.38 deg, 2.684 Å, I 46; 33.63 deg, 2.665 Å, I 100; 39.40 deg, 2.287 Å, I 38; 47.93 deg, 1.898 Å, I 30; 54.14 deg, 1.694 Å, I 19; 59.82 deg, 1.546 Å, I 36

Crystal structure
```
data_La3MgTi2N3O4
_chemical_formula_sum 'La6 Mg2 Ti4 N6 O8'
_cell_length_a 3.796
_cell_length_b 3.796
_cell_length_c 26.202
_cell_angle_alpha 90.00
_cell_angle_beta 90.00
_cell_angle_gamma 90.00
_space_group_name_H-M_alt 'I -4 m 2'
_space_group_IT_number 119
_space_group_name_Hall 'I -4 -2'
loop_
_atom_site_label
_atom_site_fract_x
_atom_site_fract_y
_atom_site_fract_z
La1 0.000 0.000 0.000
La2 0.000 0.000 0.155
Mg1 0.000 0.500 0.750
Ti1 0.000 0.000 0.425
N1 0.000 0.000 0.500
N2 0.000 0.500 0.599
O1 0.000 0.000 0.289
O2 0.000 0.500 0.102
```



Entry 6:
La3MgTi2N3O4: simulated X-ray diffraction stick pattern (Cu Ka), based on the PBE geometry in the Materials Project.
Peak positions follow from Bragg's law for the DFT cell and can differ from measured ones.

Principal peaks in the range 2θ from 10° to 90°, in order of rising 2θ:
20.25 deg, 4.386 Å, I 18; 23.70 deg, 3.755 Å, I 34; 29.02 deg, 3.077 Å, I 25; 33.40 deg, 2.682 Å, I 46; 33.56 deg, 2.670 Å, I 100; 39.37 deg, 2.288 Å, I 38; 47.96 deg, 1.897 Å, I 30; 59.81 deg, 1.546 Å, I 36

Crystal structure
```
data_La3MgTi2N3O4
_chemical_formula_sum 'La6 Mg2 Ti4 N6 O8'
_cell_length_a 3.794
_cell_length_b 3.794
_cell_length_c 26.314
_cell_angle_alpha 90.00
_cell_angle_beta 90.00
_cell_angle_gamma 90.00
_space_group_name_H-M_alt 'I -4 m 2'
_space_group_IT_number 119
_space_group_name_Hall 'I -4 -2'
loop_
_atom_site_label
_atom_site_fract_x
_atom_site_fract_y
_atom_site_fract_z
La1 0.000 0.000 0.000
La2 0.000 0.000 0.155
Mg1 0.000 0.500 0.250
Ti1 0.000 0.000 0.425
N1 0.000 0.000 0.500
N2 0.000 0.500 0.597
O1 0.000 0.000 0.289
O2 0.000 0.500 0.104
```



Entry 7:
La3MgTi2N3O4: simulated X-ray diffraction stick pattern (Cu Ka), based on the PBE geometry in the Materials Project.
Peak positions follow from Bragg's law for the DFT cell and can differ from measured ones.

Principal peaks in the range 2θ from 10° to 90°, in order of rising 2θ:
26.52 deg, 3.361 Å, I 53; 27.56 deg, 3.236 Å, I 29; 28.88 deg, 3.091 Å, I 86; 29.21 deg, 3.058 Å, I 100; 32.43 deg, 2.760 Å, I 37; 33.71 deg, 2.659 Å, I 27; 42.37 deg, 2.133 Å, I 35; 48.09 deg, 1.892 Å, I 31

Crystal structure
```
data_La3MgTi2N3O4
_chemical_formula_sum 'La6 Mg2 Ti4 N6 O8'
_cell_length_a 19.437
_cell_length_b 3.995
_cell_length_c 5.521
_cell_angle_alpha 90.00
_cell_angle_beta 106.32
_cell_angle_gamma 90.00
_space_group_name_H-M_alt 'C 1 m 1'
_space_group_IT_number 8
loop_
_space_group_symop_operation_xyz
'x,y,z'
'x,-y,z'
'x+1/2,y+1/2,z'
'x+1/2,-y+1/2,z'
loop_
_atom_site_label
_atom_site_fract_x
_atom_site_fract_y
_atom_site_fract_z
La1 0.000 0.000 0.000
La2 0.130 0.500 0.628
La3 0.315 0.000 0.902
Mg1 0.314 0.500 0.402
Ti1 0.201 0.000 0.241
Ti2 0.428 0.000 0.472
N1 0.188 0.000 0.899
N2 0.314 0.000 0.358
N3 0.442 0.000 0.158
O1 0.021 0.500 0.748
O2 0.108 0.000 0.334
O3 0.207 0.500 0.345
O4 0.420 0.500 0.567
```



Entry 8:
NaLaMg14: simulated X-ray diffraction stick pattern (Cu Ka), based on the PBE geometry in the Materials Project.
Peak positions follow from Bragg's law for the DFT cell and can differ from measured ones.

Principal peaks in the range 2θ from 10° to 90°, in order of rising 2θ:
15.54 deg, 5.704 Å, I 23; 17.68 deg, 5.017 Å, I 35; 31.37 deg, 2.852 Å, I 28; 34.01 deg, 2.636 Å, I 38; 35.39 deg, 2.536 Å, I 53; 35.80 deg, 2.508 Å, I 100; 55.26 deg, 1.662 Å, I 20; 66.50 deg, 1.406 Å, I 20

Crystal structure
```
data_NaLaMg14
_chemical_formula_sum 'Na2 La2 Mg28'
_cell_length_a 10.545
_cell_length_b 6.555
_cell_length_c 11.572
_cell_angle_alpha 90.00
_cell_angle_beta 90.00
_cell_angle_gamma 90.00
_space_group_name_H-M_alt 'A m m 2'
_space_group_IT_number 38
loop_
_space_group_symop_operation_xyz
'x,y,z'
'-x,-y,z'
'-x,y,z'
'x,-y,z'
'x,y+1/2,z+1/2'
'-x,-y+1/2,z+1/2'
'-x,y+1/2,z+1/2'
'x,-y+1/2,z+1/2'
loop_
_atom_site_label
_atom_site_fract_x
_atom_site_fract_y
_atom_site_fract_z
Na1 0.000 0.000 0.000
La1 0.000 0.000 0.502
Mg1 0.000 0.244 0.754
Mg2 0.250 0.000 0.169
Mg3 0.256 0.000 0.670
Mg4 0.260 0.249 0.915
Mg5 0.500 0.000 0.002
Mg6 0.500 0.000 0.502
Mg7 0.500 0.250 0.251
```



Copy entry 1 word for word.
LaMg6Mo: simulated X-ray diffraction stick pattern (Cu Ka), based on the PBE geometry in the Materials Project.
Peak positions follow from Bragg's law for the DFT cell and can differ from measured ones.

Principal peaks in the range 2θ from 10° to 90°, in order of rising 2θ:
15.41 deg, 5.750 Å, I 36; 15.75 deg, 5.626 Å, I 100; 31.81 deg, 2.813 Å, I 44; 32.63 deg, 2.745 Å, I 25; 36.11 deg, 2.487 Å, I 59; 36.23 deg, 2.479 Å, I 32; 36.73 deg, 2.447 Å, I 60; 48.97 deg, 1.860 Å, I 26

Crystal structure
```
data_LaMg6Mo
_chemical_formula_sum 'La2 Mg12 Mo2'
_cell_length_a 4.959
_cell_length_b 6.451
_cell_length_c 11.500
_cell_angle_alpha 90.00
_cell_angle_beta 90.00
_cell_angle_gamma 90.00
_space_group_name_H-M_alt 'A m m 2'
_space_group_IT_number 38
loop_
_space_group_symop_operation_xyz
'x,y,z'
'-x,-y,z'
'-x,y,z'
'x,-y,z'
'x,y+1/2,z+1/2'
'-x,-y+1/2,z+1/2'
'-x,y+1/2,z+1/2'
'x,-y+1/2,z+1/2'
loop_
_atom_site_label
_atom_site_fract_x
_atom_site_fract_y
_atom_site_fract_z
La1 0.000 0.000 0.000
Mg1 0.000 0.000 0.534
Mg2 0.000 0.241 0.772
Mg3 0.500 0.000 0.371
Mg4 0.500 0.238 0.627
Mo1 0.500 0.000 0.890
```